Calculated X-ray powder pattern
Compound: NbH12N3O8
Radiation: Cu Ka
Structure: a cell relaxed with GGA-PBE

Top 8 peaks for 2θ = 15–90°, most intense first:
2theta, Rel. int.
15.58, 1000
25.25, 589
18.45, 264
17.09, 249
45.67, 188
37.39, 152
30.63, 140
39.46, 129

Atomic structure:
```
data_NbH12N3O8
_space_group_name_H-M_alt 'I -4 2 m'
_space_group_IT_number 121
_space_group_name_Hall 'I -4 2'
_cell_length_a 6.802
_cell_length_b 6.802
_cell_length_c 10.375
_cell_angle_alpha 90.00
_cell_angle_beta 90.00
_cell_angle_gamma 90.00
loop_
_atom_site_label
_atom_site_fract_x
_atom_site_fract_y
_atom_site_fract_z
Nb1 0.000 0.000 0.000
H1 0.042 0.379 0.194
H2 0.093 0.093 0.551
N1 0.000 0.000 0.500
N2 0.000 0.500 0.250
O1 0.149 0.149 0.143
O2 0.214 0.214 0.012
```


Calculated X-ray powder pattern
Compound: Nd7HN5
Radiation: Cu Ka
Structure: a cell relaxed with GGA-PBE

Top 8 peaks for 2θ = 15–90°, most intense first:
2theta, Rel. int.
30.29, 1000
31.63, 957
34.03, 678
35.23, 490
29.41, 398
32.66, 356
28.35, 312
28.06, 301

Atomic structure:
```
data_Nd7HN5
_space_group_name_H-M_alt 'P 1 21 1'
_space_group_IT_number 4
_cell_length_a 3.623
_cell_length_b 22.320
_cell_length_c 6.392
_cell_angle_alpha 90.00
_cell_angle_beta 106.42
_cell_angle_gamma 90.00
loop_
_space_group_symop_operation_xyz
'x,y,z'
'-x,y+1/2,-z'
loop_
_atom_site_label
_atom_site_fract_x
_atom_site_fract_y
_atom_site_fract_z
Nd1 0.027 0.000 0.053
Nd2 0.138 0.284 0.276
Nd3 0.139 0.716 0.279
Nd4 0.324 0.082 0.648
Nd5 0.326 0.918 0.650
Nd6 0.414 0.350 0.829
Nd7 0.416 0.650 0.831
H1 0.165 0.500 0.330
N1 0.053 0.389 0.106
N2 0.054 0.611 0.108
N3 0.226 0.177 0.451
N4 0.228 0.823 0.454
N5 0.499 0.250 0.999
```